No. 1
Simulated powder diffractogram of Y3In4 for Cu Kα (weighted mean of Kα1 and Kα2), from a cell relaxed with PBE.
Peak positions follow from Bragg's law for the DFT cell and can differ from measured ones.

Most intense lines, 10° ≤ 2θ ≤ 90°, in order of rising 2θ:
2θ 29.78, rel. 11; 2θ 31.45, rel. 7; 2θ 33.58, rel. 100; 2θ 33.97, rel. 88; 2θ 34.89, rel. 9; 2θ 38.59, rel. 12; 2θ 48.52, rel. 24; 2θ 60.05, rel. 12; 2θ 60.30, rel. 20; 2θ 71.51, rel. 6

Crystal structure
```
Y3In4
1.0
7.0604 4.0763 2.1426
-7.0604 4.0763 2.1426
0.0000 -8.1527 2.1426
Y In
6 8
direct
0.0063 0.3934 0.2726
0.2726 0.0063 0.3934
0.3934 0.2726 0.0063
0.6066 0.7274 0.9937
0.7274 0.9937 0.6066
0.9937 0.6066 0.7274
0.0000 0.0000 0.0000
0.0897 0.2403 0.5592
0.2403 0.5592 0.0897
0.4408 0.9103 0.7597
0.5000 0.5000 0.5000
0.5592 0.0897 0.2403
0.7597 0.4408 0.9103
0.9103 0.7597 0.4408
```

=====

No. 2
Simulated powder diffractogram of La4Pr5Nd2 for Cu Kα (weighted mean of Kα1 and Kα2), from a cell relaxed with PBE.
Peak positions follow from Bragg's law for the DFT cell and can differ from measured ones.

Most intense lines, 10° ≤ 2θ ≤ 90°, in order of rising 2θ:
2θ 28.89, rel. 45; 2θ 29.30, rel. 40; 2θ 29.73, rel. 100; 2θ 29.85, rel. 49; 2θ 30.52, rel. 87; 2θ 30.79, rel. 85; 2θ 31.75, rel. 59; 2θ 32.84, rel. 33; 2θ 59.40, rel. 28; 2θ 59.89, rel. 37

Crystal structure
```
La4Pr5Nd2
1.0
9.1507 -1.8187 0.0000
9.1507 1.8187 0.0000
-0.9441 0.0000 12.0477
La Pr Nd
4 5 2
direct
0.0371 0.0371 0.2634
0.3588 0.3588 0.2016
0.6412 0.6412 0.7984
0.9629 0.9629 0.7366
0.0958 0.0958 0.5408
0.1780 0.1780 0.0731
0.5000 0.5000 0.0000
0.8220 0.8220 0.9269
0.9042 0.9042 0.4592
0.2839 0.2839 0.6402
0.7161 0.7161 0.3598
```

=====

No. 3
Simulated powder diffractogram of Tl2AuBr for Cu Kα (weighted mean of Kα1 and Kα2), from a cell relaxed with PBE.
Peak positions follow from Bragg's law for the DFT cell and can differ from measured ones.

Most intense lines, 10° ≤ 2θ ≤ 90°, in order of rising 2θ:
2θ 28.07, rel. 86; 2θ 28.17, rel. 43; 2θ 40.16, rel. 100; 2θ 49.74, rel. 36; 2θ 58.03, rel. 11; 2θ 65.70, rel. 32; 2θ 65.88, rel. 16; 2θ 72.94, rel. 24; 2θ 73.08, rel. 12; 2θ 86.81, rel. 8

Crystal structure
```
Tl2AuBr
1.0
4.4957 0.0000 0.0000
0.0000 4.4957 0.0000
0.0000 0.0000 6.3356
Tl Au Br
2 1 1
direct
0.0000 0.0000 0.0000
0.5000 0.5000 0.5000
0.0000 0.0000 0.5000
0.5000 0.5000 0.0000
```

=====

No. 4
Simulated powder diffractogram of KB for Cu Kα (weighted mean of Kα1 and Kα2), from a cell relaxed with PBE.
Peak positions follow from Bragg's law for the DFT cell and can differ from measured ones.

Most intense lines, 10° ≤ 2θ ≤ 90°, in order of rising 2θ:
2θ 20.43, rel. 21; 2θ 21.08, rel. 73; 2θ 25.37, rel. 25; 2θ 29.99, rel. 67; 2θ 31.93, rel. 100; 2θ 33.21, rel. 18; 2θ 36.56, rel. 35; 2θ 44.35, rel. 22; 2θ 44.39, rel. 20; 2θ 50.52, rel. 17

Crystal structure
```
KB
1.0
6.3520 0.0000 0.0000
0.0000 8.4204 0.0000
0.0000 0.0000 8.4349
K B
8 8
direct
0.1160 0.0395 0.2127
0.1160 0.5415 0.7110
0.3840 0.4585 0.2110
0.3840 0.9605 0.7127
0.6160 0.4605 0.7873
0.6160 0.9585 0.2890
0.8840 0.0415 0.7890
0.8840 0.5395 0.2873
0.0308 0.2484 0.5007
0.2193 0.7494 0.0025
0.2807 0.2506 0.5025
0.4692 0.7516 0.0007
0.5308 0.2516 0.4993
0.7193 0.7506 0.9975
0.7807 0.2494 0.4975
0.9692 0.7484 0.9993
```

=====

No. 5
Simulated powder diffractogram of ScRh6W for Cu Kα (weighted mean of Kα1 and Kα2), from a cell relaxed with PBE.
Peak positions follow from Bragg's law for the DFT cell and can differ from measured ones.

Most intense lines, 10° ≤ 2θ ≤ 90°, in order of rising 2θ:
2θ 16.06, rel. 16; 2θ 40.09, rel. 100; 2θ 43.44, rel. 5; 2θ 46.55, rel. 32; 2θ 46.78, rel. 16; 2θ 67.94, rel. 10; 2θ 68.13, rel. 20; 2θ 81.92, rel. 24; 2θ 82.26, rel. 12; 2θ 86.54, rel. 11

Crystal structure
```
ScRh6W
1.0
5.5185 0.0000 0.0000
0.0000 5.5185 0.0000
0.0000 0.0000 3.8840
Sc Rh W
1 6 1
direct
0.0000 0.0000 0.0000
0.0000 0.5000 0.0000
0.2579 0.2579 0.5000
0.2579 0.7421 0.5000
0.5000 0.0000 0.0000
0.7421 0.2579 0.5000
0.7421 0.7421 0.5000
0.5000 0.5000 0.0000
```

=====

No. 6
Simulated powder diffractogram of La2Pm4Tm for Cu Kα (weighted mean of Kα1 and Kα2), from a cell relaxed with PBE.
Peak positions follow from Bragg's law for the DFT cell and can differ from measured ones.

Most intense lines, 10° ≤ 2θ ≤ 90°, in order of rising 2θ:
2θ 25.15, rel. 23; 2θ 27.97, rel. 32; 2θ 29.54, rel. 100; 2θ 30.17, rel. 97; 2θ 30.75, rel. 88; 2θ 32.77, rel. 67; 2θ 33.53, rel. 26; 2θ 34.80, rel. 29; 2θ 35.62, rel. 25; 2θ 63.90, rel. 29

Crystal structure
```
La2Pm4Tm
1.0
-3.4426 5.8162 6.1917
3.4426 -5.8162 6.1917
3.4426 5.8162 -6.1917
La Pm Tm
4 8 2
direct
0.0000 0.0000 0.0000
0.4718 0.2218 0.2500
0.5000 0.0000 0.5000
0.5282 0.7782 0.7500
0.1322 0.6422 0.4900
0.2593 0.2860 0.5267
0.2593 0.7325 0.9733
0.3477 0.3578 0.9900
0.6523 0.6422 0.0100
0.7407 0.2675 0.0267
0.7407 0.7140 0.4733
0.8678 0.3578 0.5100
0.0000 0.0000 0.5000
0.0000 0.5000 0.0000
```

=====

No. 7
Simulated powder diffractogram of Ni7Ge for Cu Kα (weighted mean of Kα1 and Kα2), from a cell relaxed with PBE.
Peak positions follow from Bragg's law for the DFT cell and can differ from measured ones.

Most intense lines, 10° ≤ 2θ ≤ 90°, in order of rising 2θ:
2θ 41.62, rel. 25; 2θ 44.13, rel. 28; 2θ 47.39, rel. 100; 2θ 62.27, rel. 14; 2θ 75.95, rel. 15; 2θ 83.54, rel. 17

Crystal structure
```
Ni7Ge
1.0
5.0118 0.0000 0.0000
-2.5059 4.3403 0.0000
0.0000 0.0000 4.1041
Ni Ge
7 1
direct
0.0000 0.0000 0.0000
0.0045 0.5023 0.0000
0.1656 0.3311 0.5000
0.1656 0.8344 0.5000
0.4977 0.5023 0.0000
0.4977 0.9955 0.0000
0.6689 0.8344 0.5000
0.6667 0.3333 0.5000
```